RbMo2F11: simulated powder diffractogram (copper Kα), based on DFT lattice parameters and positions (PBE+U).
Lines closer than 0.1° are merged.

Structure:
abc: 8.9408 8.9408 8.9408
angles: 115.47 111.75 101.50
Fractional positions:
1 Rb 0.2500 0.2500 0.0000
2 Rb 0.7500 0.7500 0.0000
3 Mo 0.1620 0.6366 0.7987
4 Mo 0.3380 0.1366 0.4746
5 Mo 0.6620 0.8634 0.5254
6 Mo 0.8380 0.3634 0.2013
7 F 0.0000 0.5000 0.5000
8 F 0.0430 0.3688 0.1795
9 F 0.1270 0.4043 0.7649
10 F 0.1394 0.9043 0.2772
11 F 0.1870 0.2547 0.4417
12 F 0.1893 0.8635 0.8205
13 F 0.3107 0.1312 0.6743
14 F 0.3130 0.7547 0.0678
15 F 0.3606 0.6379 0.7649
16 F 0.3730 0.1379 0.2772
17 F 0.4570 0.6365 0.3257
18 F 0.5000 0.0000 0.5000
19 F 0.5430 0.3635 0.6743
20 F 0.6270 0.8621 0.7228
21 F 0.6394 0.3621 0.2351
22 F 0.6870 0.2453 0.9322
23 F 0.6893 0.8688 0.3257
24 F 0.8107 0.1365 0.1795
25 F 0.8130 0.7453 0.5583
26 F 0.8606 0.0957 0.7228
27 F 0.8730 0.5957 0.2351
28 F 0.9570 0.6312 0.8205

The 10 most intense peaks (15° ≤ 2θ ≤ 90°), by intensity:
- 2θ 20.28, intensity 100
- 2θ 22.07, intensity 86
- 2θ 21.50, intensity 66
- 2θ 15.66, intensity 54
- 2θ 41.24, intensity 47
- 2θ 23.71, intensity 38
- 2θ 42.34, intensity 34
- 2θ 28.28, intensity 30
- 2θ 31.52, intensity 24
- 2θ 24.40, intensity 19